Diffraction record for Mn7BiO12. The X-ray diffraction stick pattern is theoretical, not measured: it uses a DFT-relaxed cell (PBE+U, the Materials Project) and a wavelength of 1.5418 Å.

The 6 most intense peaks (2θ from 5° to 70°), low angle first:
two_theta  I_rel  (hkl)
16.54  66.2  1 1 0
33.02  39.2  0 0 2
33.41  100.0  2 2 0
33.47  70.5  2 2 -2
59.25  33.9  2 2 -4
59.68  28.1  6 2 -4

Structural model:
```
data_Mn7BiO12
_symmetry_space_group_name_H-M 'C 1 m 1'
_symmetry_Int_Tables_number 8
_symmetry_space_group_name_Hall 'C -2y'
_cell_length_a 10.743
_cell_length_b 7.522
_cell_length_c 7.625
_cell_angle_alpha 90.00
_cell_angle_beta 134.65
_cell_angle_gamma 90.00
loop_
_atom_site_label
_atom_site_fract_x
_atom_site_fract_y
_atom_site_fract_z
_atom_site_occupancy
Mn1 0.000 0.000 0.000 1
Mn2 0.004 0.000 0.499 1
Mn3 0.244 0.258 0.997 1
Mn4 0.251 0.251 0.494 1
Mn5 0.495 0.000 0.487 1
Bi1 0.468 0.000 0.985 1
O1 0.009 0.191 0.834 1
O2 0.165 0.500 0.848 1
O3 0.174 0.500 0.478 1
O4 0.197 0.173 0.685 1
O5 0.311 0.000 0.485 1
O6 0.320 0.320 0.326 1
O7 0.326 0.000 0.120 1
O8 0.485 0.308 0.159 1
```